The following is a calculated XRD peak list of PaCrH6. It was derived from a DFT-relaxed cell (PBE, Alexandria), using Cu Kα (weighted mean of Kα1 and Kα2).
Peak positions follow from Bragg's law for the DFT cell and can differ from measured ones.

Top 10 peaks for 10° ≤ 2θ ≤ 90°, by angle:
2θ (°), d/Å, I (rel.)
24.83, 3.586, 18
25.20, 3.535, 52
29.07, 3.072, 100
41.34, 2.184, 40
41.81, 2.161, 38
49.24, 1.851, 19
51.72, 1.767, 21
67.94, 1.380, 18
68.60, 1.368, 18
76.02, 1.252, 13

```
8
Lattice="2.161 1.247 3.586 -2.161 1.247 3.586 0.000 -2.495 3.586" Properties=species:S:1:pos:R:3 pbc="T T T"
Pa 0.000 0.000 0.000
Cr 0.000 0.000 5.378
H -1.222 -0.706 4.510
H 0.000 -1.411 6.247
H -1.222 0.706 6.247
H 1.222 -0.706 4.510
H 0.000 1.411 4.510
H 1.222 0.706 6.247
```